Structure and simulated powder diffractogram of YFeO3 (a DFT-relaxed cell (PBE+U, the Materials Project); CuKα).
Peak positions follow from Bragg's law for the DFT cell and can differ from measured ones.

The 12 most intense peaks (2θ from 10° to 90°), by intensity:
hkl 0 2 2, 32.75°, intensity 100
hkl 1 1 1, 29.96°, intensity 63
hkl 2 0 0, 51.36°, intensity 55
hkl 0 0 4, 30.14°, intensity 51
hkl 1 1 4, 42.30°, intensity 39
hkl 2 0 4, 60.71°, intensity 38
hkl 0 2 6, 55.20°, intensity 34
hkl 1 1 0, 28.98°, intensity 28
hkl 2 0 8, 85.19°, intensity 17
hkl 2 2 2, 62.26°, intensity 16
hkl 1 5 2, 84.84°, intensity 14
hkl 1 1 5, 48.43°, intensity 14

Structure:
abc: 3.558 6.162 11.861
angles: 90.00 90.00 90.00
Space group Cmcm (No. 63)
Inequivalent atoms, fractional coordinates:
Y 0.000 0.000 0.000 [4 per cell]
Fe 0.000 0.330 0.250 [4 per cell]
O 0.000 0.002 0.250 [4 per cell]
O 0.000 0.334 0.086 [8 per cell]


Structure and simulated powder diffractogram of Li2CrSi7O16 (a DFT-relaxed cell (PBE+U, the Materials Project); CuKα).
Peak positions follow from Bragg's law for the DFT cell and can differ from measured ones.

The 12 most intense peaks (2θ from 10° to 90°), by intensity:
hkl -1 1 1, 22.24°, intensity 100
hkl 0 2 -2, 27.15°, intensity 86
hkl 2 0 0, 27.36°, intensity 66
hkl 1 1 0, 23.03°, intensity 60
hkl 0 1 -1, 13.48°, intensity 48
hkl -2 1 1, 27.61°, intensity 46
hkl 0 2 -1, 23.81°, intensity 44
hkl 1 0 0, 13.58°, intensity 39
hkl 0 1 -3, 36.87°, intensity 24
hkl -4 1 1, 50.26°, intensity 23
hkl 0 1 -2, 23.69°, intensity 21
hkl 0 2 0, 28.23°, intensity 19

Structure:
abc: 7.263 7.672 7.741
angles: 116.96 103.85 102.77
Space group P1 (No. 1)
Inequivalent atoms, fractional coordinates:
Li 0.000 0.000 0.000 [1 per cell]
Li 0.357 0.677 0.686 [1 per cell]
Cr 0.508 0.025 0.088 [1 per cell]
Si 0.343 0.258 0.429 [1 per cell]
Si 0.358 0.559 0.044 [1 per cell]
Si 0.477 0.176 0.776 [1 per cell]
Si 0.774 0.570 0.633 [1 per cell]
Si 0.792 0.796 0.402 [1 per cell]
Si 0.911 0.190 0.390 [1 per cell]
Si 0.919 0.544 0.023 [1 per cell]
O 0.135 0.513 0.071 [1 per cell]
O 0.156 0.332 0.484 [1 per cell]
O 0.288 0.126 0.181 [1 per cell]
O 0.364 0.327 0.899 [1 per cell]
O 0.383 0.704 0.948 [1 per cell]
O 0.403 0.125 0.533 [1 per cell]
O 0.426 0.964 0.776 [1 per cell]
O 0.527 0.501 0.571 [1 per cell]
O 0.544 0.676 0.280 [1 per cell]
O 0.728 0.319 0.891 [1 per cell]
O 0.801 0.362 0.469 [1 per cell]
O 0.811 0.052 0.137 [1 per cell]
O 0.859 0.771 0.608 [1 per cell]
O 0.872 0.050 0.497 [1 per cell]
O 0.901 0.657 0.881 [1 per cell]
O 0.909 0.697 0.248 [1 per cell]